# Mn2ZnO4
Calculated PXRD pattern, Cu Kα. Input: a cell relaxed with GGA+U.

Peak list (10 most intense, 10° ≤ 2θ ≤ 80°, in order of falling intensity)
| 2θ/deg | I/Imax | index |
| --- | --- | --- |
| 14.10 | 100 | 0 1 -1 |
| 35.54 | 91 | 1 1 -1 |
| 23.46 | 61 | 0 2 0 |
| 28.60 | 38 | 0 1 2 |
| 28.41 | 35 | 0 2 -2 |
| 34.34 | 33 | 0 3 -1 |
| 34.95 | 30 | 0 0 3 |
| 49.57 | 29 | 1 1 2 |
| 49.98 | 27 | -1 2 3 |
| 51.74 | 26 | 1 1 -4 |

Cell and atoms:
Cell: 2.886 7.980 8.099 Å, 102.82 99.93 100.23°
Atoms (fractional coordinates):
Mn  0.167  0.317  0.020
Mn  0.300  0.907  0.686
Mn  0.700  0.093  0.314
Mn  0.833  0.683  0.980
Zn  0.033  0.721  0.328
Zn  0.967  0.279  0.672
O  0.073  0.934  0.212
O  0.295  0.736  0.846
O  0.338  0.211  0.482
O  0.374  0.612  0.135
O  0.626  0.388  0.865
O  0.662  0.789  0.518
O  0.705  0.264  0.154
O  0.927  0.066  0.788